Record 1
This entry pairs a crystal structure of YNiO3 with its theoretical powder diffraction line list. Radiation: Cu Kα. Structure: a cell relaxed with PBE+U.
Peak positions follow from Bragg's law for the DFT cell and can differ from measured ones.

Most intense lines, 2θ = 5–70°, in order of falling intensity:
- 33.00°, rel. 100
- 29.96°, rel. 72
- 51.19°, rel. 66
- 31.50°, rel. 40
- 61.36°, rel. 34
- 28.89°, rel. 26
- 43.27°, rel. 24
- 57.05°, rel. 22

Structure:
```
YNiO3
1.0
6.1809 0.0000 0.0000
-3.0905 5.3528 0.0000
0.0000 0.0000 11.3597
Y Ni O
6 6 18
Direct
0.0000 0.0000 0.0000
0.0000 0.0000 0.5000
0.3333 0.6667 0.4565
0.3333 0.6667 0.9565
0.6667 0.3333 0.4565
0.6667 0.3333 0.9565
0.0000 0.3327 0.2245
0.0000 0.6673 0.7245
0.3327 0.0000 0.2245
0.3327 0.3327 0.7245
0.6673 0.0000 0.7245
0.6673 0.6673 0.2245
0.0000 0.0000 0.2035
0.0000 0.0000 0.7035
0.0000 0.3095 0.3877
0.0000 0.3573 0.0612
0.0000 0.6427 0.5612
0.0000 0.6905 0.8877
0.3095 0.0000 0.3877
0.3095 0.3095 0.8877
0.3333 0.6667 0.2423
0.3333 0.6667 0.7423
0.3573 0.0000 0.0612
0.3573 0.3573 0.5612
0.6427 0.0000 0.5612
0.6427 0.6427 0.0612
0.6667 0.3333 0.2423
0.6667 0.3333 0.7423
0.6905 0.0000 0.8877
0.6905 0.6905 0.3877
```

Record 2
This entry pairs a crystal structure of YNi2O4 with its theoretical powder diffraction line list. Radiation: Cu Kα. Structure: a cell relaxed with PBE+U.
Peak positions follow from Bragg's law for the DFT cell and can differ from measured ones.

Most intense lines, 2θ = 5–70°, in order of falling intensity:
- 37.05°, rel. 100
- 32.18°, rel. 33
- 29.19°, rel. 25
- 60.53°, rel. 21
- 50.17°, rel. 16
- 60.25°, rel. 13
- 55.18°, rel. 13
- 57.02°, rel. 13

Structure:
```
YNi2O4
1.0
-2.8054 2.8054 4.8052
2.8054 -2.8054 4.8052
2.8054 2.8054 -4.8052
Y Ni O
2 4 8
Direct
0.3750 0.1250 0.2500
0.6250 0.8750 0.7500
0.0000 0.0000 0.5000
0.0000 0.5000 0.0000
0.0000 0.5000 0.5000
0.5000 0.5000 0.0000
0.0267 0.1362 0.3132
0.2135 0.5267 0.3905
0.3230 0.7135 0.1868
0.3638 0.1770 0.8905
0.6362 0.8230 0.1095
0.6770 0.2865 0.8132
0.7865 0.4733 0.6095
0.9733 0.8638 0.6868
```

Record 3
This entry pairs a crystal structure of YNiO3 with its theoretical powder diffraction line list. Radiation: Cu Kα. Structure: a cell relaxed with PBE+U.
Peak positions follow from Bragg's law for the DFT cell and can differ from measured ones.

Most intense lines, 2θ = 5–70°, in order of falling intensity:
- 33.15°, rel. 100
- 30.13°, rel. 70
- 51.52°, rel. 56
- 31.48°, rel. 46
- 61.64°, rel. 37
- 43.38°, rel. 33
- 57.12°, rel. 31
- 29.07°, rel. 25

Structure:
```
YNiO3
1.0
3.5475 0.0000 0.0000
-1.7737 3.0722 0.0000
0.0000 0.0000 11.3657
Y Ni O
2 2 6
Direct
0.0000 0.0000 0.0000
0.0000 0.0000 0.5000
0.3333 0.6667 0.2500
0.6667 0.3333 0.7500
0.0000 0.0000 0.2500
0.0000 0.0000 0.7500
0.3333 0.6667 0.0884
0.3333 0.6667 0.4116
0.6667 0.3333 0.5884
0.6667 0.3333 0.9116
```

Record 4
This entry pairs a crystal structure of ZnNi9O10 with its theoretical powder diffraction line list. Radiation: Cu Kα. Structure: a cell relaxed with PBE+U.
Peak positions follow from Bragg's law for the DFT cell and can differ from measured ones.

Most intense lines, 2θ = 5–70°, in order of falling intensity:
- 42.63°, rel. 100
- 36.70°, rel. 76
- 61.87°, rel. 58

Structure:
```
ZnNi9O10
1.0
5.1949 0.0000 0.0000
1.7323 5.7429 0.0000
1.7342 1.0419 6.3961
Zn Ni O
1 9 10
Direct
0.0000 0.0000 0.0000
0.0000 0.5000 0.0000
0.2000 0.3008 0.5981
0.2010 0.7996 0.5989
0.3999 0.5994 0.2008
0.4013 0.1000 0.2001
0.5987 0.9000 0.7999
0.6001 0.4006 0.7992
0.7990 0.2004 0.4011
0.8000 0.6992 0.4019
0.0991 0.4005 0.2998
0.1005 0.8987 0.3040
0.3028 0.6966 0.8991
0.3041 0.2019 0.8999
0.5000 0.0000 0.5000
0.5000 0.5000 0.5000
0.6959 0.7981 0.1001
0.6972 0.3034 0.1009
0.8995 0.1013 0.6960
0.9009 0.5995 0.7002
```

Record 5
This entry pairs a crystal structure of ZnNi2O5 with its theoretical powder diffraction line list. Radiation: Cu Kα. Structure: a cell relaxed with PBE+U.
Peak positions follow from Bragg's law for the DFT cell and can differ from measured ones.

Most intense lines, 2θ = 5–70°, in order of falling intensity:
- 15.92°, rel. 100
- 17.94°, rel. 34
- 36.33°, rel. 28
- 34.25°, rel. 25
- 28.27°, rel. 23
- 22.99°, rel. 23
- 61.21°, rel. 22
- 47.46°, rel. 21

Structure:
```
ZnNi2O5
1.0
3.8314 0.0000 0.0000
0.0000 10.7565 0.0000
0.0000 0.0000 5.5685
Zn Ni O
2 4 10
Direct
0.2500 0.2500 0.2294
0.7500 0.7500 0.7706
0.2500 0.5972 0.5068
0.2500 0.9028 0.5068
0.7500 0.0972 0.4932
0.7500 0.4028 0.4932
0.2500 0.0790 0.4151
0.2500 0.4210 0.4151
0.2500 0.6887 0.1863
0.2500 0.7500 0.7004
0.2500 0.8113 0.1863
0.7500 0.1887 0.8137
0.7500 0.2500 0.2996
0.7500 0.3113 0.8137
0.7500 0.5790 0.5849
0.7500 0.9210 0.5849
```

Record 6
This entry pairs a crystal structure of ZnNi2O5 with its theoretical powder diffraction line list. Radiation: Cu Kα. Structure: a cell relaxed with PBE+U.
Peak positions follow from Bragg's law for the DFT cell and can differ from measured ones.

Most intense lines, 2θ = 5–70°, in order of falling intensity:
- 24.15°, rel. 100
- 33.81°, rel. 91
- 36.48°, rel. 70
- 32.81°, rel. 49
- 37.05°, rel. 46
- 18.08°, rel. 44
- 49.15°, rel. 40
- 36.64°, rel. 33

Structure:
```
ZnNi2O5
1.0
3.2847 0.0000 0.0000
0.0000 4.9055 0.0000
-3.2576 0.0000 11.1661
Zn Ni O
2 4 10
Direct
0.0000 0.0870 0.2500
0.0000 0.9130 0.7500
0.3521 0.4428 0.6014
0.3521 0.5572 0.1014
0.6479 0.4428 0.8986
0.6479 0.5572 0.3986
0.1825 0.3799 0.4325
0.1825 0.6201 0.9325
0.3936 0.0859 0.6497
0.3936 0.9141 0.1497
0.5000 0.3985 0.2500
0.5000 0.6015 0.7500
0.6064 0.0859 0.8503
0.6064 0.9141 0.3503
0.8175 0.3799 0.0675
0.8175 0.6201 0.5675
```

Record 7
This entry pairs a crystal structure of ZnNiO3 with its theoretical powder diffraction line list. Radiation: Cu Kα. Structure: a cell relaxed with PBE+U.
Peak positions follow from Bragg's law for the DFT cell and can differ from measured ones.

Most intense lines, 2θ = 5–70°, in order of falling intensity:
- 34.80°, rel. 100
- 62.38°, rel. 21
- 63.33°, rel. 20
- 50.58°, rel. 18
- 35.53°, rel. 18
- 49.48°, rel. 11
- 61.91°, rel. 9
- 58.04°, rel. 7

Structure:
```
ZnNiO3
1.0
5.1567 0.0000 0.0000
0.0000 7.3681 0.0000
0.0000 0.0000 5.0537
Zn Ni O
4 4 12
Direct
0.0546 0.2500 0.0088
0.4454 0.7500 0.5088
0.5546 0.2500 0.4912
0.9454 0.7500 0.9912
0.0000 0.0000 0.5000
0.0000 0.5000 0.5000
0.5000 0.0000 0.0000
0.5000 0.5000 0.0000
0.0677 0.7500 0.3737
0.1889 0.5703 0.8131
0.1889 0.9297 0.8131
0.3111 0.0703 0.3131
0.3111 0.4297 0.3131
0.4323 0.2500 0.8737
0.5677 0.7500 0.1263
0.6889 0.5703 0.6869
0.6889 0.9297 0.6869
0.8111 0.0703 0.1869
0.8111 0.4297 0.1869
0.9323 0.2500 0.6263
```

Record 8
This entry pairs a crystal structure of ZnNi9O10 with its theoretical powder diffraction line list. Radiation: Cu Kα. Structure: a cell relaxed with PBE+U.
Peak positions follow from Bragg's law for the DFT cell and can differ from measured ones.

Most intense lines, 2θ = 5–70°, in order of falling intensity:
- 42.63°, rel. 100
- 36.70°, rel. 76
- 61.87°, rel. 58

Structure:
```
ZnNi9O10
1.0
5.1935 0.0000 0.0000
-1.7298 5.7398 0.0000
-0.8740 -1.8304 6.4000
Zn Ni O
1 9 10
Direct
0.0000 0.0000 0.0000
0.0000 0.5000 0.0000
0.2003 0.4007 0.4012
0.2005 0.8998 0.4003
0.4002 0.3002 0.7991
0.4003 0.7995 0.7994
0.5997 0.2005 0.2006
0.5998 0.6998 0.2009
0.7995 0.1002 0.5997
0.7997 0.5993 0.5988
0.0992 0.4503 0.7005
0.1006 0.9489 0.6962
0.3034 0.3540 0.1015
0.3038 0.8485 0.1007
0.5001 0.2500 0.4989
0.4999 0.7500 0.5011
0.6962 0.1515 0.8993
0.6966 0.6460 0.8985
0.8994 0.0511 0.3038
0.9008 0.5497 0.2995
```